Computed X-ray powder pattern of TlCd2 for Cu Kα, 1.54184 Å, from DFT lattice parameters and positions (GGA-PBE).
Neutral-atom scattering factors, no anomalous dispersion.

Largest 10 diffraction maxima, sorted by position, 2θ = 10–80°:
- 32.4°, rel. 100
- 33.7°, rel. 92
- 36.9°, rel. 37
- 39.1°, rel. 59
- 54.9°, rel. 43
- 63.7°, rel. 14
- 64.5°, rel. 14
- 65.8°, rel. 22
- 68.2°, rel. 21
- 71.0°, rel. 10

Structural model:
Lattice parameters (Å, degrees): 6.340 4.866 10.073 90.00 90.00 90.00
Atoms (fractional coordinates):
Tl: 0.114 0.250 0.096
Tl: 0.386 0.750 0.596
Tl: 0.614 0.250 0.404
Tl: 0.886 0.750 0.904
Cd: 0.114 0.250 0.424
Cd: 0.119 0.250 0.740
Cd: 0.381 0.750 0.240
Cd: 0.386 0.750 0.924
Cd: 0.614 0.250 0.076
Cd: 0.619 0.250 0.760
Cd: 0.881 0.750 0.260
Cd: 0.886 0.750 0.576

=====

Computed X-ray powder pattern of PaAgBO6 for Cu Kα, 1.54184 Å, from DFT lattice parameters and positions (GGA-PBE).
Neutral-atom scattering factors, no anomalous dispersion.

Largest 10 diffraction maxima, sorted by position, 2θ = 10–80°:
- 20.7°, rel. 33
- 28.2°, rel. 100
- 36.2°, rel. 26
- 42.1°, rel. 8
- 44.1°, rel. 14
- 46.5°, rel. 26
- 53.9°, rel. 26
- 60.3°, rel. 24
- 63.4°, rel. 10
- 65.1°, rel. 8

Structural model:
Lattice parameters (Å, degrees): 4.961 4.961 4.681 90.00 90.00 120.00
Atoms (fractional coordinates):
Pa: 0.000 0.000 0.000
Ag: 0.333 0.667 0.500
B: 0.667 0.333 0.500
O: 0.384 0.058 0.718
O: 0.384 0.326 0.282
O: 0.674 0.058 0.282
O: 0.674 0.616 0.718
O: 0.942 0.326 0.718
O: 0.942 0.616 0.282

=====

Computed X-ray powder pattern of LiCdH6Ir for Cu Kα, 1.54184 Å, from DFT lattice parameters and positions (GGA-PBE).
Neutral-atom scattering factors, no anomalous dispersion.

Largest 10 diffraction maxima, sorted by position, 2θ = 10–80°:
- 22.0°, rel. 40
- 30.3°, rel. 100
- 38.7°, rel. 34
- 41.7°, rel. 9
- 47.7°, rel. 10
- 49.9°, rel. 25
- 58.2°, rel. 22
- 64.8°, rel. 22
- 69.1°, rel. 9
- 70.0°, rel. 6

Structural model:
Lattice parameters (Å, degrees): 4.657 4.657 4.331 90.00 90.00 120.00
Atoms (fractional coordinates):
Li: 0.000 0.000 0.000
Cd: 0.667 0.333 0.500
H: 0.056 0.372 0.236
H: 0.056 0.684 0.764
H: 0.316 0.372 0.764
H: 0.316 0.944 0.236
H: 0.628 0.684 0.236
H: 0.628 0.944 0.764
Ir: 0.333 0.667 0.000

=====

Computed X-ray powder pattern of Tm8Sn2Ru for Cu Kα, 1.54184 Å, from DFT lattice parameters and positions (GGA-PBE).
Neutral-atom scattering factors, no anomalous dispersion.

Largest 10 diffraction maxima, sorted by position, 2θ = 10–80°:
- 29.2°, rel. 54
- 29.7°, rel. 26
- 30.4°, rel. 92
- 32.9°, rel. 100
- 33.6°, rel. 28
- 35.3°, rel. 38
- 36.3°, rel. 78
- 38.1°, rel. 49
- 47.0°, rel. 25
- 67.2°, rel. 27

Structural model:
Lattice parameters (Å, degrees): 9.823 9.823 6.540 105.36 105.36 29.21
Atoms (fractional coordinates):
Tm: 0.021 0.021 0.287
Tm: 0.218 0.218 0.819
Tm: 0.356 0.356 0.501
Tm: 0.412 0.412 0.044
Tm: 0.588 0.588 0.956
Tm: 0.644 0.644 0.499
Tm: 0.782 0.782 0.181
Tm: 0.979 0.979 0.713
Sn: 0.182 0.182 0.256
Sn: 0.818 0.818 0.744
Ru: 0.500 0.500 0.500

=====

Computed X-ray powder pattern of CsMg2Os for Cu Kα, 1.54184 Å, from DFT lattice parameters and positions (GGA-PBE).
Neutral-atom scattering factors, no anomalous dispersion.

Largest 10 diffraction maxima, sorted by position, 2θ = 10–80°:
- 15.5°, rel. 11
- 21.1°, rel. 22
- 23.2°, rel. 100
- 29.3°, rel. 28
- 36.4°, rel. 31
- 38.3°, rel. 27
- 47.4°, rel. 20
- 48.5°, rel. 28
- 52.9°, rel. 11
- 58.1°, rel. 16

Structural model:
Lattice parameters (Å, degrees): 9.459 9.459 9.459 142.46 142.46 54.14
Atoms (fractional coordinates):
Cs: 0.375 0.625 0.750
Cs: 0.625 0.375 0.250
Mg: 0.000 0.000 0.000
Mg: 0.000 0.000 0.500
Mg: 0.000 0.500 0.000
Mg: 0.500 0.000 0.500
Os: 0.125 0.875 0.250
Os: 0.875 0.125 0.750

=====

Computed X-ray powder pattern of Th3AsN3 for Cu Kα, 1.54184 Å, from DFT lattice parameters and positions (GGA-PBE).
Neutral-atom scattering factors, no anomalous dispersion.

Largest 10 diffraction maxima, sorted by position, 2θ = 10–80°:
- 24.7°, rel. 17
- 25.5°, rel. 16
- 28.3°, rel. 100
- 35.8°, rel. 37
- 44.9°, rel. 28
- 45.8°, rel. 17
- 51.9°, rel. 14
- 53.9°, rel. 17
- 57.5°, rel. 14
- 59.8°, rel. 15

Structural model:
Lattice parameters (Å, degrees): 8.267 8.267 8.267 50.08 50.08 50.08
Atoms (fractional coordinates):
Th: 0.048 0.404 0.750
Th: 0.250 0.952 0.596
Th: 0.404 0.750 0.048
Th: 0.596 0.250 0.952
Th: 0.750 0.048 0.404
Th: 0.952 0.596 0.250
As: 0.167 0.167 0.167
As: 0.833 0.833 0.833
N: 0.061 0.698 0.368
N: 0.302 0.632 0.939
N: 0.368 0.061 0.698
N: 0.632 0.939 0.302
N: 0.698 0.368 0.061
N: 0.939 0.302 0.632

=====

Computed X-ray powder pattern of Cu3Ag4 for Cu Kα, 1.54184 Å, from DFT lattice parameters and positions (GGA-PBE).
Neutral-atom scattering factors, no anomalous dispersion.

Largest 10 diffraction maxima, sorted by position, 2θ = 10–80°:
- 33.2°, rel. 11
- 35.8°, rel. 4
- 39.5°, rel. 100
- 45.3°, rel. 36
- 47.1°, rel. 12
- 57.3°, rel. 3
- 66.0°, rel. 11
- 67.4°, rel. 15
- 74.7°, rel. 3
- 79.8°, rel. 23

Structural model:
Lattice parameters (Å, degrees): 13.655 13.655 13.655 168.11 168.11 16.85
Atoms (fractional coordinates):
Cu: 0.000 0.000 0.000
Cu: 0.278 0.278 0.000
Cu: 0.722 0.722 0.000
Ag: 0.152 0.152 0.000
Ag: 0.430 0.430 0.000
Ag: 0.570 0.570 0.000
Ag: 0.848 0.848 0.000

=====

Computed X-ray powder pattern of TmTh3Si4 for Cu Kα, 1.54184 Å, from DFT lattice parameters and positions (GGA-PBE).
Neutral-atom scattering factors, no anomalous dispersion.

Largest 10 diffraction maxima, sorted by position, 2θ = 10–80°:
- 22.1°, rel. 27
- 28.0°, rel. 100
- 28.5°, rel. 25
- 34.4°, rel. 14
- 35.7°, rel. 16
- 36.7°, rel. 14
- 43.0°, rel. 13
- 50.2°, rel. 20
- 53.5°, rel. 19
- 69.4°, rel. 13

Structural model:
Lattice parameters (Å, degrees): 8.712 8.712 8.712 152.05 137.88 51.31
Atoms (fractional coordinates):
Tm: 0.000 0.000 0.000
Th: 0.194 0.694 0.500
Th: 0.500 0.500 0.000
Th: 0.806 0.306 0.500
Si: 0.179 0.871 0.308
Si: 0.437 0.129 0.308
Si: 0.563 0.871 0.692
Si: 0.821 0.129 0.692

=====

Computed X-ray powder pattern of CsNpHg2Br6 for Cu Kα, 1.54184 Å, from DFT lattice parameters and positions (GGA-PBE).
Neutral-atom scattering factors, no anomalous dispersion.

Largest 10 diffraction maxima, sorted by position, 2θ = 10–80°:
- 12.1°, rel. 23
- 19.3°, rel. 100
- 22.4°, rel. 54
- 24.3°, rel. 59
- 29.8°, rel. 63
- 33.8°, rel. 32
- 35.7°, rel. 44
- 35.8°, rel. 22
- 46.0°, rel. 21
- 52.8°, rel. 20

Structural model:
Lattice parameters (Å, degrees): 8.060 8.076 8.087 69.42 69.31 69.27
Atoms (fractional coordinates):
Cs: 0.000 0.000 0.000
Np: 0.500 0.500 0.500
Hg: 0.222 0.221 0.219
Hg: 0.778 0.779 0.781
Br: 0.186 0.393 0.666
Br: 0.334 0.814 0.606
Br: 0.393 0.664 0.187
Br: 0.607 0.336 0.813
Br: 0.666 0.186 0.394
Br: 0.814 0.607 0.334

=====

Computed X-ray powder pattern of LiAg2GeS4 for Cu Kα, 1.54184 Å, from DFT lattice parameters and positions (GGA-PBE).
Neutral-atom scattering factors, no anomalous dispersion.

Largest 10 diffraction maxima, sorted by position, 2θ = 10–80°:
- 14.8°, rel. 45
- 27.5°, rel. 19
- 29.1°, rel. 27
- 29.9°, rel. 25
- 32.8°, rel. 55
- 34.9°, rel. 100
- 48.7°, rel. 67
- 49.2°, rel. 18
- 60.4°, rel. 17
- 79.6°, rel. 18

Structural model:
Lattice parameters (Å, degrees): 7.496 7.496 7.496 123.17 120.76 86.64
Atoms (fractional coordinates):
Li: 0.000 0.000 0.000
Li: 0.500 0.000 0.500
Ag: 0.000 0.500 0.500
Ag: 0.500 0.000 0.000
Ag: 0.500 0.500 0.000
Ag: 0.500 0.500 0.500
Ge: 0.000 0.000 0.500
Ge: 0.000 0.500 0.000
S: 0.214 0.229 0.985
S: 0.227 0.238 0.511
S: 0.227 0.716 0.989
S: 0.256 0.771 0.485
S: 0.744 0.229 0.515
S: 0.773 0.284 0.011
S: 0.773 0.762 0.489
S: 0.786 0.771 0.015

=====

Computed X-ray powder pattern of CaZn9Ni2 for Cu Kα, 1.54184 Å, from DFT lattice parameters and positions (GGA-PBE).
Neutral-atom scattering factors, no anomalous dispersion.

Largest 10 diffraction maxima, sorted by position, 2θ = 10–80°:
- 15.5°, rel. 26
- 17.0°, rel. 20
- 38.0°, rel. 59
- 38.6°, rel. 52
- 40.7°, rel. 25
- 43.7°, rel. 23
- 44.4°, rel. 33
- 45.5°, rel. 100
- 47.2°, rel. 39
- 69.4°, rel. 17

Structural model:
Lattice parameters (Å, degrees): 8.124 8.124 8.124 100.12 100.12 130.42
Atoms (fractional coordinates):
Ca: 0.375 0.625 0.750
Ca: 0.625 0.375 0.250
Zn: 0.125 0.875 0.250
Zn: 0.142 0.566 0.333
Zn: 0.142 0.810 0.576
Zn: 0.190 0.266 0.333
Zn: 0.190 0.858 0.924
Zn: 0.266 0.190 0.833
Zn: 0.266 0.434 0.076
Zn: 0.434 0.266 0.576
Zn: 0.434 0.858 0.167
Zn: 0.566 0.142 0.833
Zn: 0.566 0.734 0.424
Zn: 0.734 0.566 0.924
Zn: 0.734 0.810 0.167
Zn: 0.810 0.142 0.076
Zn: 0.810 0.734 0.667
Zn: 0.858 0.190 0.424
Zn: 0.858 0.434 0.667
Zn: 0.875 0.125 0.750
Ni: 0.000 0.000 0.000
Ni: 0.000 0.000 0.500
Ni: 0.000 0.500 0.000
Ni: 0.500 0.000 0.500

=====

Computed X-ray powder pattern of Pm2GaPt for Cu Kα, 1.54184 Å, from DFT lattice parameters and positions (GGA-PBE).
Neutral-atom scattering factors, no anomalous dispersion.

Largest 10 diffraction maxima, sorted by position, 2θ = 10–80°:
- 30.6°, rel. 76
- 31.3°, rel. 100
- 31.7°, rel. 29
- 32.3°, rel. 44
- 37.9°, rel. 76
- 38.4°, rel. 51
- 39.6°, rel. 58
- 41.1°, rel. 54
- 44.3°, rel. 43
- 62.1°, rel. 29

Structural model:
Lattice parameters (Å, degrees): 6.029 4.389 8.038 90.00 110.47 90.00
Atoms (fractional coordinates):
Pm: 0.182 0.250 0.411
Pm: 0.277 0.750 0.062
Pm: 0.723 0.250 0.938
Pm: 0.818 0.750 0.589
Ga: 0.376 0.750 0.702
Ga: 0.624 0.250 0.298
Pt: 0.147 0.250 0.790
Pt: 0.853 0.750 0.210